Structure and theoretical X-ray diffraction stick pattern of BaY2Mo4O16 (a GGA+U-relaxed structure; a wavelength of 1.5418 Å).
Peak positions follow from Bragg's law for the DFT cell and can differ from measured ones.

Most intense lines, 2θ = 10–90°, by intensity:
- 28.4°, I = 100.0
- 25.9°, I = 93.8
- 27.4°, I = 89.7
- 25.1°, I = 89.5
- 27.2°, I = 83.6
- 30.3°, I = 82.9
- 29.3°, I = 69.7
- 33.8°, I = 59.0
- 28.2°, I = 56.3
- 28.6°, I = 53.2
- 45.3°, I = 50.6
- 31.2°, I = 43.2

Structure:
abc: 6.8865 6.8865 19.9744
angles: 90.79 90.79 134.74
Fractional positions:
Ba 0.0307 0.9693 0.7500
Ba 0.9693 0.0307 0.2500
Y 0.1457 0.8492 0.5312
Y 0.1508 0.8543 0.9688
Y 0.8492 0.1457 0.0312
Y 0.8543 0.1508 0.4688
Mo 0.2578 0.7406 0.1453
Mo 0.2594 0.7422 0.3547
Mo 0.4279 0.5473 0.9105
Mo 0.4527 0.5721 0.5895
Mo 0.5473 0.4279 0.4105
Mo 0.5721 0.4527 0.0895
Mo 0.7406 0.2578 0.6453
Mo 0.7422 0.2594 0.8547
O 0.0121 0.7393 0.1714
O 0.0645 0.5864 0.4340
O 0.0821 0.3854 0.1305
O 0.1039 0.4884 0.2914
O 0.1679 0.5084 0.9570
O 0.2216 0.2574 0.5354
O 0.2234 0.3206 0.4004
O 0.2574 0.2216 0.0354
O 0.2607 0.9879 0.3286
O 0.3005 0.4665 0.6674
O 0.3206 0.2234 0.9004
O 0.3854 0.0821 0.6305
O 0.4136 0.9355 0.0660
O 0.4665 0.3005 0.1674
O 0.4884 0.1039 0.7914
O 0.4916 0.8321 0.5430
O 0.5084 0.1679 0.4570
O 0.5116 0.8961 0.2086
O 0.5335 0.6995 0.8326
O 0.5864 0.0645 0.9340
O 0.6146 0.9179 0.3695
O 0.6794 0.7766 0.0996
O 0.6995 0.5335 0.3326
O 0.7393 0.0121 0.6714
O 0.7426 0.7784 0.9646
O 0.7766 0.6794 0.5996
O 0.7784 0.7426 0.4646
O 0.8321 0.4916 0.0430
O 0.8961 0.5116 0.7086
O 0.9179 0.6146 0.8695
O 0.9355 0.4136 0.5660
O 0.9879 0.2607 0.8286